Diffraction record for Zn2Os. The powder XRD pattern is calculated, not measured: it uses a GGA-PBE-relaxed structure and Cu Kα.
No peak broadening, texture or thermal motion is included.

Top 10 peaks for 10 to 90 degrees two-theta, sorted by position:
d (Å), Position (°2θ), intensity
4.686, 18.94, 18
4.064, 21.87, 8
2.344, 38.40, 24
2.200, 41.02, 27
2.069, 43.74, 100
1.604, 57.44, 15
1.354, 69.43, 16
1.244, 76.62, 19
1.153, 83.92, 19
1.133, 85.73, 8

Structural model:
```
data_Zn2Os
_chemical_formula_sum 'Zn8 Os4'
_space_group_name_H-M_alt 'P 1'
_space_group_IT_number 1
_space_group_name_Hall 'P 1'
_cell_length_a 4.4003
_cell_length_b 8.1292
_cell_length_c 4.6856
_cell_angle_alpha 90.00
_cell_angle_beta 90.00
_cell_angle_gamma 90.00
loop_
_atom_site_label
_atom_site_fract_x
_atom_site_fract_y
_atom_site_fract_z
Zn1 0.2500 0.0801 0.0815
Zn2 0.2500 0.2500 0.5851
Zn3 0.2500 0.4199 0.0815
Zn4 0.2500 0.7500 0.0643
Zn5 0.7500 0.2500 0.9357
Zn6 0.7500 0.5801 0.9185
Zn7 0.7500 0.7500 0.4149
Zn8 0.7500 0.9199 0.9185
Os1 0.2500 0.5781 0.5750
Os2 0.2500 0.9219 0.5750
Os3 0.7500 0.0781 0.4250
Os4 0.7500 0.4219 0.4250
```

=====

Diffraction record for Zr5ZnOs4. The powder XRD pattern is calculated, not measured: it uses a GGA-PBE-relaxed structure and Cu Kα.
No peak broadening, texture or thermal motion is included.

Top 10 peaks for 10 to 90 degrees two-theta, sorted by position:
d (Å), Position (°2θ), intensity
3.312, 26.92, 5
3.285, 27.14, 9
2.332, 38.60, 100
2.323, 38.76, 50
1.656, 55.49, 9
1.643, 55.98, 17
1.348, 69.74, 17
1.343, 70.06, 34
1.166, 82.76, 11
1.162, 83.16, 5

Structural model:
```
data_Zr5ZnOs4
_chemical_formula_sum 'Zr5 Zn1 Os4'
_space_group_name_H-M_alt 'P 1'
_space_group_IT_number 1
_space_group_name_Hall 'P 1'
_cell_length_a 3.2854
_cell_length_b 3.2854
_cell_length_c 16.5595
_cell_angle_alpha 90.00
_cell_angle_beta 90.00
_cell_angle_gamma 90.00
loop_
_atom_site_label
_atom_site_fract_x
_atom_site_fract_y
_atom_site_fract_z
Zr1 0.0000 0.0000 0.0000
Zr2 0.0000 0.0000 0.1986
Zr3 0.0000 0.0000 0.3966
Zr4 0.0000 0.0000 0.6034
Zr5 0.0000 0.0000 0.8014
Zn1 0.5000 0.5000 0.5000
Os1 0.5000 0.5000 0.0995
Os2 0.5000 0.5000 0.2988
Os3 0.5000 0.5000 0.7012
Os4 0.5000 0.5000 0.9005
```

=====

Diffraction record for Zr2Os. The powder XRD pattern is calculated, not measured: it uses a GGA-PBE-relaxed structure and Cu Kα.
No peak broadening, texture or thermal motion is included.

Top 8 peaks for 10 to 90 degrees two-theta, sorted by position:
d (Å), Position (°2θ), intensity
3.718, 23.94, 61
2.277, 39.59, 100
1.942, 46.79, 31
1.610, 57.23, 17
1.477, 62.91, 13
1.314, 71.82, 34
1.239, 76.94, 10
1.138, 85.26, 11

Structural model:
```
data_Zr2Os
_chemical_formula_sum 'Zr2 Os1'
_space_group_name_H-M_alt 'P 1'
_space_group_IT_number 1
_space_group_name_Hall 'P 1'
_cell_length_a 4.5532
_cell_length_b 4.5532
_cell_length_c 4.5532
_cell_angle_alpha 60.00
_cell_angle_beta 60.00
_cell_angle_gamma 60.00
loop_
_atom_site_label
_atom_site_fract_x
_atom_site_fract_y
_atom_site_fract_z
Zr1 0.2500 0.2500 0.2500
Zr2 0.7500 0.7500 0.7500
Os1 0.0000 0.0000 0.0000
```

=====

Diffraction record for Zr4Os3. The powder XRD pattern is calculated, not measured: it uses a GGA-PBE-relaxed structure and Cu Kα.
No peak broadening, texture or thermal motion is included.

Top 10 peaks for 10 to 90 degrees two-theta, sorted by position:
d (Å), Position (°2θ), intensity
7.065, 12.53, 17
3.871, 22.98, 12
2.670, 33.56, 21
2.313, 38.94, 100
1.960, 46.33, 6
1.866, 48.80, 9
1.749, 52.32, 12
1.542, 60.00, 11
1.336, 70.51, 17
1.283, 73.87, 18

Structural model:
```
data_Zr4Os3
_chemical_formula_sum 'Zr8 Os6'
_space_group_name_H-M_alt 'P 1'
_space_group_IT_number 1
_space_group_name_Hall 'P 1'
_cell_length_a 8.1584
_cell_length_b 8.1584
_cell_length_c 4.6271
_cell_angle_alpha 90.00
_cell_angle_beta 90.00
_cell_angle_gamma 120.00
loop_
_atom_site_label
_atom_site_fract_x
_atom_site_fract_y
_atom_site_fract_z
Zr1 0.0011 0.2556 0.2500
Zr2 0.2544 0.9989 0.2500
Zr3 0.2556 0.2544 0.7500
Zr4 0.3333 0.6667 0.2500
Zr5 0.6667 0.3333 0.7500
Zr6 0.7444 0.7456 0.2500
Zr7 0.7456 0.0011 0.7500
Zr8 0.9989 0.7444 0.7500
Os1 0.1078 0.4794 0.7500
Os2 0.3715 0.8922 0.7500
Os3 0.4794 0.3715 0.2500
Os4 0.5206 0.6285 0.7500
Os5 0.6285 0.1078 0.2500
Os6 0.8922 0.5206 0.2500
```

=====

Diffraction record for Pa2Tl3P3. The powder XRD pattern is calculated, not measured: it uses a GGA-PBE-relaxed structure and Cu Kα.
No peak broadening, texture or thermal motion is included.

Top 10 peaks for 10 to 90 degrees two-theta, sorted by position:
d (Å), Position (°2θ), intensity
4.443, 19.99, 100
3.807, 23.37, 31
2.703, 33.15, 50
2.615, 34.29, 63
2.538, 35.36, 23
2.398, 37.51, 41
2.221, 40.62, 38
2.132, 42.39, 49
1.658, 55.41, 30
1.572, 58.72, 35

Structural model:
```
data_Pa2Tl3P3
_chemical_formula_sum 'Pa2 Tl3 P3'
_space_group_name_H-M_alt 'P 1'
_space_group_IT_number 1
_space_group_name_Hall 'P 1'
_cell_length_a 8.2652
_cell_length_b 8.2652
_cell_length_c 8.2652
_cell_angle_alpha 39.37
_cell_angle_beta 39.37
_cell_angle_gamma 39.37
loop_
_atom_site_label
_atom_site_fract_x
_atom_site_fract_y
_atom_site_fract_z
Pa1 0.2064 0.2064 0.2064
Pa2 0.7936 0.7936 0.7936
Tl1 0.0000 0.5000 0.5000
Tl2 0.5000 0.0000 0.5000
Tl3 0.5000 0.5000 0.0000
P1 0.0938 0.0938 0.0938
P2 0.5000 0.5000 0.5000
P3 0.9062 0.9062 0.9062
```

=====

Diffraction record for PrP3Pb3. The powder XRD pattern is calculated, not measured: it uses a GGA-PBE-relaxed structure and Cu Kα.
No peak broadening, texture or thermal motion is included.

Top 10 peaks for 10 to 90 degrees two-theta, sorted by position:
d (Å), Position (°2θ), intensity
3.924, 22.66, 15
3.738, 23.81, 33
3.538, 25.17, 64
3.306, 26.97, 23
3.066, 29.12, 100
2.832, 31.59, 25
2.266, 39.79, 56
1.939, 46.85, 28
1.822, 50.05, 59
1.270, 74.74, 21

Structural model:
```
data_PrP3Pb3
_chemical_formula_sum 'Pr2 P6 Pb6'
_space_group_name_H-M_alt 'P 1'
_space_group_IT_number 1
_space_group_name_Hall 'P 1'
_cell_length_a 4.5311
_cell_length_b 4.5311
_cell_length_c 24.5470
_cell_angle_alpha 90.00
_cell_angle_beta 90.00
_cell_angle_gamma 120.00
loop_
_atom_site_label
_atom_site_fract_x
_atom_site_fract_y
_atom_site_fract_z
Pr1 0.0000 0.0000 0.0000
Pr2 0.0000 0.0000 0.5000
P1 0.3333 0.6667 0.0639
P2 0.3333 0.6667 0.4361
P3 0.3333 0.6667 0.7500
P4 0.6667 0.3333 0.2500
P5 0.6667 0.3333 0.5639
P6 0.6667 0.3333 0.9361
Pb1 0.3333 0.6667 0.2500
Pb2 0.3333 0.6667 0.6236
Pb3 0.3333 0.6667 0.8764
Pb4 0.6667 0.3333 0.1236
Pb5 0.6667 0.3333 0.3764
Pb6 0.6667 0.3333 0.7500
```

=====

Diffraction record for P3Pd. The powder XRD pattern is calculated, not measured: it uses a GGA-PBE-relaxed structure and Cu Kα.
No peak broadening, texture or thermal motion is included.

Top 10 peaks for 10 to 90 degrees two-theta, sorted by position:
d (Å), Position (°2θ), intensity
4.106, 21.65, 86
2.903, 30.80, 100
2.597, 34.54, 34
2.370, 37.96, 42
1.836, 49.65, 95
1.676, 54.77, 51
1.610, 57.21, 17
1.298, 72.85, 21
1.139, 85.22, 20
1.097, 89.27, 19

Structural model:
```
data_P3Pd
_chemical_formula_sum 'P12 Pd4'
_space_group_name_H-M_alt 'P 1'
_space_group_IT_number 1
_space_group_name_Hall 'P 1'
_cell_length_a 7.1111
_cell_length_b 7.1111
_cell_length_c 7.1111
_cell_angle_alpha 109.47
_cell_angle_beta 109.47
_cell_angle_gamma 109.47
loop_
_atom_site_label
_atom_site_fract_x
_atom_site_fract_y
_atom_site_fract_z
P1 0.1353 0.3640 0.4993
P2 0.1353 0.6360 0.7713
P3 0.2287 0.8647 0.3640
P4 0.3640 0.2287 0.8647
P5 0.3640 0.4993 0.1353
P6 0.4993 0.1353 0.3640
P7 0.5007 0.8647 0.6360
P8 0.6360 0.5007 0.8647
P9 0.6360 0.7713 0.1353
P10 0.7713 0.1353 0.6360
P11 0.8647 0.3640 0.2287
P12 0.8647 0.6360 0.5007
Pd1 0.0000 0.0000 0.5000
Pd2 0.0000 0.5000 0.0000
Pd3 0.5000 0.0000 0.0000
Pd4 0.5000 0.5000 0.5000
```

=====

Diffraction record for PPd5. The powder XRD pattern is calculated, not measured: it uses a GGA-PBE-relaxed structure and Cu Kα.
No peak broadening, texture or thermal motion is included.

Top 10 peaks for 10 to 90 degrees two-theta, sorted by position:
d (Å), Position (°2θ), intensity
2.445, 36.76, 100
2.166, 41.70, 7
2.138, 42.27, 15
2.108, 42.91, 33
1.807, 50.52, 4
1.501, 61.81, 18
1.490, 62.30, 10
1.286, 73.68, 6
1.273, 74.57, 17
1.223, 78.19, 6

Structural model:
```
data_PPd5
_chemical_formula_sum 'P4 Pd20'
_space_group_name_H-M_alt 'P 1'
_space_group_IT_number 1
_space_group_name_Hall 'P 1'
_cell_length_a 6.6647
_cell_length_b 6.6647
_cell_length_c 8.5515
_cell_angle_alpha 90.00
_cell_angle_beta 90.00
_cell_angle_gamma 90.00
loop_
_atom_site_label
_atom_site_fract_x
_atom_site_fract_y
_atom_site_fract_z
P1 0.2500 0.2500 0.1574
P2 0.2500 0.7500 0.5000
P3 0.7500 0.2500 0.5000
P4 0.7500 0.7500 0.8426
Pd1 0.0214 0.6150 0.3470
Pd2 0.0696 0.6524 0.8803
Pd3 0.1150 0.9786 0.6530
Pd4 0.1524 0.9304 0.1197
Pd5 0.2500 0.2500 0.4192
Pd6 0.2500 0.2500 0.8874
Pd7 0.3476 0.5696 0.1197
Pd8 0.3850 0.5214 0.6530
Pd9 0.4304 0.8476 0.8803
Pd10 0.4786 0.8850 0.3470
Pd11 0.5214 0.1150 0.6530
Pd12 0.5696 0.1524 0.1197
Pd13 0.6150 0.4786 0.3470
Pd14 0.6524 0.4304 0.8803
Pd15 0.7500 0.7500 0.1126
Pd16 0.7500 0.7500 0.5808
Pd17 0.8476 0.0696 0.8803
Pd18 0.8850 0.0214 0.3470
Pd19 0.9304 0.3476 0.1197
Pd20 0.9786 0.3850 0.6530
```

=====

Diffraction record for PPd6. The powder XRD pattern is calculated, not measured: it uses a GGA-PBE-relaxed structure and Cu Kα.
No peak broadening, texture or thermal motion is included.

Top 10 peaks for 10 to 90 degrees two-theta, sorted by position:
d (Å), Position (°2θ), intensity
2.596, 34.55, 30
2.397, 37.52, 34
2.290, 39.35, 100
2.250, 40.07, 68
2.137, 42.30, 26
2.061, 43.93, 43
1.361, 68.98, 16
1.360, 69.08, 21
1.237, 77.14, 16
1.217, 78.62, 24

Structural model:
```
data_PPd6
_chemical_formula_sum 'P4 Pd24'
_space_group_name_H-M_alt 'P 1'
_space_group_IT_number 1
_space_group_name_Hall 'P 1'
_cell_length_a 5.7461
_cell_length_b 9.5887
_cell_length_c 8.3323
_cell_angle_alpha 90.00
_cell_angle_beta 110.24
_cell_angle_gamma 90.00
loop_
_atom_site_label
_atom_site_fract_x
_atom_site_fract_y
_atom_site_fract_z
P1 0.1236 0.2386 0.2501
P2 0.1236 0.2614 0.7501
P3 0.8764 0.7386 0.2499
P4 0.8764 0.7614 0.7499
Pd1 0.0398 0.6355 0.0635
Pd2 0.0398 0.8645 0.5635
Pd3 0.1321 0.5796 0.7480
Pd4 0.1321 0.9204 0.2480
Pd5 0.2267 0.6348 0.4297
Pd6 0.2267 0.8652 0.9297
Pd7 0.2873 0.1337 0.0642
Pd8 0.2873 0.3663 0.5642
Pd9 0.3822 0.0815 0.7488
Pd10 0.3822 0.4185 0.2488
Pd11 0.4725 0.1328 0.4313
Pd12 0.4725 0.3672 0.9313
Pd13 0.5275 0.6328 0.0687
Pd14 0.5275 0.8672 0.5687
Pd15 0.6178 0.5815 0.7512
Pd16 0.6178 0.9185 0.2512
Pd17 0.7127 0.6337 0.4358
Pd18 0.7127 0.8663 0.9358
Pd19 0.7733 0.1348 0.0703
Pd20 0.7733 0.3652 0.5703
Pd21 0.8679 0.0796 0.7520
Pd22 0.8679 0.4204 0.2520
Pd23 0.9602 0.1355 0.4365
Pd24 0.9602 0.3645 0.9365
```

=====

Diffraction record for PrSiPPd2. The powder XRD pattern is calculated, not measured: it uses a GGA-PBE-relaxed structure and Cu Kα.
No peak broadening, texture or thermal motion is included.

Top 10 peaks for 10 to 90 degrees two-theta, sorted by position:
d (Å), Position (°2θ), intensity
3.881, 22.91, 20
2.622, 34.20, 24
2.560, 35.05, 100
2.514, 35.71, 16
2.104, 42.99, 36
1.641, 56.05, 12
1.613, 57.09, 17
1.488, 62.43, 12
1.460, 63.73, 15
1.286, 73.65, 22

Structural model:
```
data_PrSiPPd2
_chemical_formula_sum 'Pr1 Si1 P1 Pd2'
_space_group_name_H-M_alt 'P 1'
_space_group_IT_number 1
_space_group_name_Hall 'P 1'
_cell_length_a 5.8424
_cell_length_b 5.8424
_cell_length_c 5.8424
_cell_angle_alpha 137.79
_cell_angle_beta 137.79
_cell_angle_gamma 61.23
loop_
_atom_site_label
_atom_site_fract_x
_atom_site_fract_y
_atom_site_fract_z
Pr1 0.0000 0.0000 0.0000
Si1 0.6213 0.6213 0.0000
P1 0.3910 0.3910 0.0000
Pd1 0.2498 0.7498 0.5000
Pd2 0.7498 0.2498 0.5000
```

=====

- Which formula does entry 1 have?
  Zn2Os